# 1
This entry pairs a crystal structure of KErBr4 with its simulated XRD peak list. Radiation: a wavelength of 1.5418 Å. Structure: the PBE geometry in Alexandria.
Neutral-atom scattering factors, no anomalous dispersion.

Cell and atoms:
abc: 9.514 9.514 7.002
angles: 107.92 107.92 115.43
Fractional positions:
1 K 0.166 0.834 0.750
2 K 0.834 0.166 0.250
3 Er 0.422 0.578 0.250
4 Er 0.578 0.422 0.750
5 Br 0.140 0.531 0.304
6 Br 0.252 0.344 0.768
7 Br 0.344 0.252 0.268
8 Br 0.469 0.860 0.196
9 Br 0.531 0.140 0.804
10 Br 0.656 0.748 0.732
11 Br 0.748 0.656 0.232
12 Br 0.860 0.469 0.696

Main lines, low angle first (2θ from 10° to 80°):
two_theta, intensity
11.99, 100
19.03, 30
20.93, 33
27.08, 22
28.49, 46
31.26, 33
31.37, 31
40.73, 19



# 2
This entry pairs a crystal structure of NaCa4Pr2 with its simulated XRD peak list. Radiation: a wavelength of 1.5418 Å. Structure: the PBE geometry in Alexandria.
Neutral-atom scattering factors, no anomalous dispersion.

Cell and atoms:
abc: 22.309 22.309 22.309
angles: 9.80 9.80 9.80
Fractional positions:
1 Na 0.000 0.000 0.000
2 Ca 0.097 0.097 0.097
3 Ca 0.382 0.382 0.382
4 Ca 0.618 0.618 0.618
5 Ca 0.903 0.903 0.903
6 Pr 0.188 0.188 0.188
7 Pr 0.812 0.812 0.812

Main lines, low angle first (2θ from 10° to 80°):
two_theta, intensity
27.84, 66
28.14, 61
30.22, 88
30.85, 100
33.03, 39
34.68, 42
47.72, 44
56.32, 49



# 3
This entry pairs a crystal structure of Tb2Er3Cd4 with its simulated XRD peak list. Radiation: a wavelength of 1.5418 Å. Structure: the PBE geometry in Alexandria.
Neutral-atom scattering factors, no anomalous dispersion.

Cell and atoms:
abc: 9.841 9.841 8.058
angles: 90.00 90.00 140.15
Fractional positions:
1 Tb 0.092 0.908 0.899
2 Tb 0.408 0.592 0.399
3 Tb 0.592 0.408 0.601
4 Tb 0.908 0.092 0.101
5 Er 0.000 0.000 0.500
6 Er 0.005 0.495 0.750
7 Er 0.495 0.005 0.250
8 Er 0.500 0.500 0.000
9 Er 0.505 0.995 0.750
10 Er 0.995 0.505 0.250
11 Cd 0.161 0.839 0.519
12 Cd 0.175 0.325 0.750
13 Cd 0.325 0.175 0.250
14 Cd 0.339 0.661 0.019
15 Cd 0.661 0.339 0.981
16 Cd 0.675 0.825 0.750
17 Cd 0.825 0.675 0.250
18 Cd 0.839 0.161 0.481

Main lines, low angle first (2θ from 10° to 80°):
two_theta, intensity
28.30, 16
29.70, 63
30.44, 29
34.81, 100
36.70, 39
38.26, 22
39.70, 18
61.55, 32



# 4
This entry pairs a crystal structure of Pr5PtS4 with its simulated XRD peak list. Radiation: a wavelength of 1.5418 Å. Structure: the PBE geometry in Alexandria.
Neutral-atom scattering factors, no anomalous dispersion.

Cell and atoms:
abc: 7.250 7.250 10.229
angles: 118.48 118.48 32.69
Fractional positions:
1 Pr 0.000 0.000 0.000
2 Pr 0.202 0.202 0.806
3 Pr 0.400 0.400 0.599
4 Pr 0.600 0.600 0.401
5 Pr 0.798 0.798 0.194
6 Pt 0.000 0.000 0.500
7 S 0.201 0.201 0.297
8 S 0.401 0.401 0.099
9 S 0.599 0.599 0.901
10 S 0.799 0.799 0.703

Main lines, low angle first (2θ from 10° to 80°):
two_theta, intensity
26.57, 19
30.35, 51
30.57, 100
43.15, 20
43.55, 37
43.68, 37
44.40, 18
54.73, 20



# 5
This entry pairs a crystal structure of Tb8Pm3Th2 with its simulated XRD peak list. Radiation: a wavelength of 1.5418 Å. Structure: the PBE geometry in Alexandria.
Neutral-atom scattering factors, no anomalous dispersion.

Cell and atoms:
abc: 7.020 8.429 15.443
angles: 89.08 82.56 76.98
Fractional positions:
1 Tb 0.037 0.326 0.064
2 Tb 0.097 0.794 0.364
3 Tb 0.180 0.699 0.134
4 Tb 0.221 0.201 0.444
5 Tb 0.263 0.867 0.575
6 Tb 0.301 0.078 0.225
7 Tb 0.342 0.309 0.857
8 Tb 0.454 0.428 0.282
9 Tb 0.546 0.572 0.718
10 Tb 0.658 0.691 0.143
11 Tb 0.699 0.922 0.775
12 Tb 0.737 0.133 0.425
13 Tb 0.779 0.799 0.556
14 Tb 0.820 0.301 0.866
15 Tb 0.903 0.206 0.636
16 Tb 0.963 0.674 0.936
17 Pm 0.067 0.555 0.705
18 Pm 0.192 0.947 0.803
19 Pm 0.500 0.000 0.000
20 Pm 0.500 0.500 0.500
21 Pm 0.808 0.053 0.197
22 Pm 0.933 0.445 0.295
23 Th 0.423 0.187 0.639
24 Th 0.487 0.648 0.930
25 Th 0.513 0.352 0.070
26 Th 0.577 0.813 0.361

Main lines, low angle first (2θ from 10° to 80°):
two_theta, intensity
30.13, 34
31.03, 100
31.34, 54
31.59, 57
32.19, 74
32.89, 48
33.17, 80
33.57, 45



# 6
This entry pairs a crystal structure of Ni5PdBr12 with its simulated XRD peak list. Radiation: a wavelength of 1.5418 Å. Structure: the PBE geometry in Alexandria.
Neutral-atom scattering factors, no anomalous dispersion.

Cell and atoms:
abc: 6.446 6.446 13.608
angles: 90.04 90.04 120.03
Fractional positions:
1 Ni 0.000 0.000 0.000
2 Ni 0.167 0.833 0.500
3 Ni 0.333 0.667 0.000
4 Ni 0.667 0.333 0.000
5 Ni 0.833 0.167 0.500
6 Pd 0.500 0.500 0.500
7 Br 0.000 0.333 0.898
8 Br 0.000 0.667 0.102
9 Br 0.153 0.153 0.605
10 Br 0.153 0.500 0.395
11 Br 0.333 0.000 0.898
12 Br 0.334 0.334 0.102
13 Br 0.500 0.153 0.395
14 Br 0.500 0.847 0.605
15 Br 0.666 0.666 0.898
16 Br 0.667 0.000 0.102
17 Br 0.847 0.500 0.605
18 Br 0.847 0.847 0.395

Main lines, low angle first (2θ from 10° to 80°):
two_theta, intensity
13.01, 100
28.47, 17
30.70, 76
34.13, 55
38.49, 31
43.52, 34
49.12, 18
49.45, 39